1.
Starting from DFT lattice parameters and positions (GGA-PBE), the powder XRD pattern of RbBaCu3 was computed for λ = 1.5418 Å (Cu Kα).

Atomic structure:
a b c (Å): 6.079 6.079 6.079
angles (deg): 90.00 90.00 90.00
Space group Pm-3m (No. 221)
Inequivalent atoms, fractional coordinates:
Rb (0.000, 0.000, 0.000)
Ba (0.500, 0.500, 0.500)
Cu (0.000, 0.500, 0.500)

The 10 most intense peaks (2θ = 10–90°), in order of rising 2θ:
- 14.57 deg, rel. 38
- 20.66 deg, rel. 58
- 25.38 deg, rel. 29
- 29.39 deg, rel. 100
- 32.95 deg, rel. 21
- 36.20 deg, rel. 28
- 42.04 deg, rel. 74
- 52.12 deg, rel. 26
- 69.11 deg, rel. 32
- 76.82 deg, rel. 23

---

2.
Starting from DFT lattice parameters and positions (GGA-PBE), the powder XRD pattern of NiCS was computed for λ = 1.5418 Å (Cu Kα).

Atomic structure:
a b c (Å): 3.361 4.047 5.988
angles (deg): 101.92 96.10 91.02
Space group P1 (No. 1)
Inequivalent atoms, fractional coordinates:
Ni (0.000, 0.000, 0.000)
Ni (0.413, 0.159, 0.517)
C (0.356, 0.824, 0.239)
C (0.542, 0.725, 0.042)
S (0.196, 0.629, 0.443)
S (0.492, 0.293, 0.895)

The 10 most intense peaks (2θ = 10–90°), in order of rising 2θ:
- 22.47 deg, rel. 54
- 26.70 deg, rel. 35
- 29.30 deg, rel. 62
- 29.85 deg, rel. 34
- 30.72 deg, rel. 100
- 35.87 deg, rel. 63
- 37.10 deg, rel. 52
- 42.26 deg, rel. 43
- 51.78 deg, rel. 30
- 61.13 deg, rel. 25

---

3.
Starting from DFT lattice parameters and positions (GGA-PBE), the powder XRD pattern of Zn5Ir3 was computed for λ = 1.5418 Å (Cu Kα).

Atomic structure:
a b c (Å): 6.064 6.254 11.882
angles (deg): 90.00 90.00 90.00
Space group Fmmm (No. 69)
Inequivalent atoms, fractional coordinates:
Zn (0.000, 0.000, 0.000)
Zn (0.250, 0.250, 0.127)
Ir (0.000, 0.000, 0.249)
Ir (0.000, 0.000, 0.500)

The 10 most intense peaks (2θ = 10–90°), in order of rising 2θ:
- 28.54 deg, rel. 19
- 29.46 deg, rel. 18
- 30.08 deg, rel. 17
- 41.48 deg, rel. 100
- 41.95 deg, rel. 97
- 42.61 deg, rel. 93
- 59.08 deg, rel. 17
- 75.54 deg, rel. 33
- 76.91 deg, rel. 32
- 77.86 deg, rel. 31

---

4.
Starting from DFT lattice parameters and positions (GGA-PBE), the powder XRD pattern of Pa2SnBi2 was computed for λ = 1.5418 Å (Cu Kα).

Atomic structure:
a b c (Å): 5.2871 5.2871 12.3823
angles (deg): 90.00 90.00 120.00
Space group P6_3/mmc (No. 194)
Inequivalent atoms, fractional coordinates:
Pa (0.3333, 0.6667, 0.1322)
Sn (0.0000, 0.0000, 0.2500)
Bi (0.0000, 0.0000, 0.0000)
Bi (0.3333, 0.6667, 0.7500)

The 10 most intense peaks (2θ = 10–90°), in order of rising 2θ:
- 24.18 deg, rel. 21
- 29.13 deg, rel. 52
- 33.91 deg, rel. 100
- 34.99 deg, rel. 38
- 41.45 deg, rel. 31
- 45.30 deg, rel. 16
- 57.77 deg, rel. 16
- 60.68 deg, rel. 20
- 65.84 deg, rel. 16
- 70.50 deg, rel. 24

---

5.
Starting from DFT lattice parameters and positions (GGA-PBE), the powder XRD pattern of Mg3Zn2Cd was computed for λ = 1.5418 Å (Cu Kα).

Atomic structure:
a b c (Å): 4.976 14.908 3.133
angles (deg): 90.00 90.00 90.00
Space group Cmmm (No. 65)
Inequivalent atoms, fractional coordinates:
Mg (0.000, 0.000, 0.000)
Mg (0.000, 0.324, 0.000)
Zn (0.000, 0.163, 0.500)
Cd (0.000, 0.500, 0.500)

The 10 most intense peaks (2θ = 10–90°), in order of rising 2θ:
- 25.33 deg, rel. 44
- 28.49 deg, rel. 16
- 36.12 deg, rel. 59
- 38.49 deg, rel. 100
- 46.64 deg, rel. 17
- 52.01 deg, rel. 20
- 58.71 deg, rel. 8
- 66.53 deg, rel. 36
- 71.13 deg, rel. 15
- 82.47 deg, rel. 10